# 1
NaAlGe2O6: theoretical powder XRD pattern (Cu Kα, 1.54184 Å), based on the PBE geometry in Alexandria.
Kinematic intensities with the Lorentz-polarization factor, no thermal factor.

The 12 most intense peaks (5 to 70 degrees two-theta), sorted by position:
2theta	d (Å)	Rel. int.	hkl
17.0	5.214	20	0 2 0
24.2	3.673	100	0 2 1
25.6	3.484	32	2 2 0
26.4	3.372	63	2 2 -1
28.4	3.140	15	3 1 -1
29.9	2.991	59	3 1 0
32.5	2.758	14	2 0 -2
33.3	2.689	16	1 1 -2
34.4	2.605	14	1 3 1
40.2	2.246	16	2 4 -1
40.8	2.210	15	4 0 -2
52.2	1.752	18	5 3 -1

Structure:
```
data_NaAlGe2O6
_cell_length_a 10.150
_cell_length_b 10.427
_cell_length_c 5.605
_cell_angle_alpha 90.00
_cell_angle_beta 112.66
_cell_angle_gamma 90.00
_symmetry_space_group_name_H-M 'C 1 2/c 1'
_symmetry_Int_Tables_number 15
loop_
_symmetry_equiv_pos_as_xyz
'x,y,z'
'-x,-y,-z'
'-x,y,-z+1/2'
'x,-y,z+1/2'
'x+1/2,y+1/2,z'
'-x+1/2,-y+1/2,-z'
'-x+1/2,y+1/2,-z+1/2'
'x+1/2,-y+1/2,z+1/2'
loop_
_atom_site_label
_atom_site_fract_x
_atom_site_fract_y
_atom_site_fract_z
_atom_site_occupancy
Na1 0.000 0.109 0.250 1
Al1 0.000 0.206 0.750 1
Ge1 0.192 0.417 0.183 1
O1 0.097 0.278 0.049 1
O2 0.120 0.100 0.689 1
O3 0.148 0.455 0.454 1
```


# 2
Ca4CdAg3: theoretical powder XRD pattern (Cu Kα, 1.54184 Å), based on the PBE geometry in Alexandria.
Kinematic intensities with the Lorentz-polarization factor, no thermal factor.

The 12 most intense peaks (5 to 70 degrees two-theta), sorted by position:
2theta	d (Å)	Rel. int.	hkl
23.6	3.775	25	4 0 0
23.8	3.732	49	1 1 -1
33.7	2.658	100	3 1 1
33.8	2.650	99	5 1 -1
34.0	2.639	98	0 2 0
41.7	2.165	17	4 2 0
48.2	1.888	17	8 0 0
48.8	1.866	33	2 2 -2
55.0	1.670	15	6 2 -2
60.3	1.535	17	8 2 0
60.6	1.528	33	3 3 1
60.7	1.525	33	7 1 -3

Structure:
```
data_Ca4CdAg3
_cell_length_a 15.973
_cell_length_b 5.278
_cell_length_c 5.278
_cell_angle_alpha 90.00
_cell_angle_beta 109.03
_cell_angle_gamma 90.00
_symmetry_space_group_name_H-M 'C 1 2/m 1'
_symmetry_Int_Tables_number 12
loop_
_symmetry_equiv_pos_as_xyz
'x,y,z'
'-x,-y,-z'
'-x,y,-z'
'x,-y,z'
'x+1/2,y+1/2,z'
'-x+1/2,-y+1/2,-z'
'-x+1/2,y+1/2,-z'
'x+1/2,-y+1/2,z'
loop_
_atom_site_label
_atom_site_fract_x
_atom_site_fract_y
_atom_site_fract_z
_atom_site_occupancy
Ca1 0.127 0.000 0.127 1
Ca2 0.127 0.500 0.627 1
Cd1 0.000 0.000 0.500 1
Ag1 0.000 0.500 0.000 1
Ag2 0.247 0.000 0.747 1
```


# 3
Rb2HfBeCl6: theoretical powder XRD pattern (Cu Kα, 1.54184 Å), based on the PBE geometry in Alexandria.
Kinematic intensities with the Lorentz-polarization factor, no thermal factor.

The 12 most intense peaks (5 to 70 degrees two-theta), sorted by position:
2theta	d (Å)	Rel. int.	hkl
13.8	6.427	100	1 1 1
22.6	3.936	93	2 2 0
26.6	3.356	37	3 1 1
27.8	3.213	18	2 2 2
32.2	2.783	70	4 0 0
39.7	2.272	39	4 2 2
42.2	2.142	27	5 1 1
46.1	1.968	45	4 4 0
48.4	1.882	23	5 3 1
52.0	1.760	25	6 2 0
59.3	1.559	15	5 5 1
62.4	1.487	26	6 4 2

Structure:
```
data_Rb2HfBeCl6
_cell_length_a 11.131
_cell_length_b 11.131
_cell_length_c 11.131
_cell_angle_alpha 90.00
_cell_angle_beta 90.00
_cell_angle_gamma 90.00
_symmetry_space_group_name_H-M 'F m -3 m'
_symmetry_Int_Tables_number 225
_symmetry_space_group_name_Hall '-F 4 2 3'
loop_
_atom_site_label
_atom_site_fract_x
_atom_site_fract_y
_atom_site_fract_z
_atom_site_occupancy
Rb1 0.250 0.250 0.250 1
Hf1 0.000 0.000 0.000 1
Be1 0.000 0.000 0.500 1
Cl1 0.000 0.000 0.221 1
```


# 4
Pa2As2RuN2: theoretical powder XRD pattern (Cu Kα, 1.54184 Å), based on the PBE geometry in Alexandria.
Kinematic intensities with the Lorentz-polarization factor, no thermal factor.

The 12 most intense peaks (5 to 70 degrees two-theta), sorted by position:
2theta	d (Å)	Rel. int.	hkl
12.8	6.907	14	0 0 1
24.3	3.670	100	1 0 1
33.2	2.701	30	0 1 2
35.9	2.501	73	1 1 0
39.1	2.302	16	0 0 3
43.8	2.067	22	0 2 1
44.7	2.026	13	1 1 2
54.1	1.694	38	1 1 3
57.4	1.604	12	1 0 4
57.9	1.593	20	2 1 1
62.8	1.480	10	1 2 2
64.5	1.444	13	3 0 0

Structure:
```
data_Pa2As2RuN2
_cell_length_a 5.0027
_cell_length_b 5.0027
_cell_length_c 6.9074
_cell_angle_alpha 90.00
_cell_angle_beta 90.00
_cell_angle_gamma 120.00
_symmetry_space_group_name_H-M 'P -3 m 1'
_symmetry_Int_Tables_number 164
_symmetry_space_group_name_Hall '-P 3 2"'
loop_
_atom_site_label
_atom_site_fract_x
_atom_site_fract_y
_atom_site_fract_z
_atom_site_occupancy
Pa1 0.3333 0.6667 0.1894 1
As1 0.0000 0.0000 0.1734 1
Ru1 0.0000 0.0000 0.5000 1
N1 0.3333 0.6667 0.9092 1
```


# 5
Fe2Co3Ir3: theoretical powder XRD pattern (Cu Kα, 1.54184 Å), based on the PBE geometry in Alexandria.
Kinematic intensities with the Lorentz-polarization factor, no thermal factor.

The 12 most intense peaks (5 to 70 degrees two-theta), sorted by position:
2theta	d (Å)	Rel. int.	hkl
18.9	4.702	18	1 0 1
26.7	3.334	57	1 1 0
26.9	3.316	11	0 1 2
33.2	2.701	19	0 0 3
38.3	2.351	35	2 0 2
42.9	2.107	100	2 1 1
43.1	2.098	100	1 1 3
47.3	1.922	75	1 2 2
47.6	1.911	19	1 0 4
62.6	1.485	10	2 1 4
65.7	1.421	8	4 0 1
69.1	1.360	19	0 4 2

Structure:
```
data_Fe2Co3Ir3
_cell_length_a 6.6673
_cell_length_b 6.6673
_cell_length_c 8.1021
_cell_angle_alpha 90.00
_cell_angle_beta 90.00
_cell_angle_gamma 120.00
_symmetry_space_group_name_H-M 'R 3 2'
_symmetry_Int_Tables_number 155
_symmetry_space_group_name_Hall 'R 3 2"'
loop_
_atom_site_label
_atom_site_fract_x
_atom_site_fract_y
_atom_site_fract_z
_atom_site_occupancy
Fe1 0.0000 0.0000 0.2454 1
Co1 0.0000 0.2430 0.0000 1
Ir1 0.0000 0.7476 0.5000 1
```


# 6
Th3Mg4Cd4: theoretical powder XRD pattern (Cu Kα, 1.54184 Å), based on the PBE geometry in Alexandria.
Kinematic intensities with the Lorentz-polarization factor, no thermal factor.

The 12 most intense peaks (5 to 70 degrees two-theta), sorted by position:
2theta	d (Å)	Rel. int.	hkl
5.5	15.925	37	0 0 1
16.7	5.308	50	0 0 3
22.2	4.000	46	0 1 2
32.1	2.785	58	1 -1 1
33.0	2.718	65	1 0 3
33.6	2.666	100	-1 1 2
34.9	2.570	52	0 2 -1
35.6	2.523	92	0 1 5
48.8	1.867	44	1 -2 4
61.8	1.500	23	1 1 -10
63.1	1.474	28	0 3 4
66.5	1.406	29	-2 1 6

Structure:
```
data_Th3Mg4Cd4
_cell_length_a 3.388
_cell_length_b 5.140
_cell_length_c 16.219
_cell_angle_alpha 99.10
_cell_angle_beta 95.98
_cell_angle_gamma 90.03
_symmetry_space_group_name_H-M 'P -1'
_symmetry_Int_Tables_number 2
loop_
_symmetry_equiv_pos_as_xyz
'x,y,z'
'-x,-y,-z'
loop_
_atom_site_label
_atom_site_fract_x
_atom_site_fract_y
_atom_site_fract_z
_atom_site_occupancy
Th1 0.000 0.000 0.000 1
Th2 0.141 0.640 0.281 1
Mg1 0.263 0.263 0.527 1
Mg2 0.406 0.908 0.814 1
Cd1 0.314 0.815 0.629 1
Cd2 0.452 0.453 0.905 1
```